# SiAg2BiTe4
Theoretical powder X-ray diffraction pattern, Cu Kα (λ = 1.5418 Å). Input: the GGA-PBE geometry in Alexandria.
Intensities are scaled so that the largest is 100.

Most intense lines, 10° ≤ 2θ ≤ 80°, in order of rising 2θ:
2θ (°), intensity
23.85, 100
26.16, 11
30.31, 19
37.35, 32
40.46, 59
44.80, 31
50.11, 13
53.85, 15
63.03, 11
64.13, 10
69.46, 21
75.62, 11

Structure:
abc: 7.6173 7.6133 6.8100
angles: 63.47 63.41 53.12
Fractional coordinates of all 8 atoms:
Si  0.0000  0.0000  0.0000
Ag  0.2502  0.2502  0.2498
Ag  0.7502  0.7502  0.7498
Bi  0.5007  0.5007  0.4993
Te  0.0908  0.6560  0.9092
Te  0.3437  0.9099  0.0901
Te  0.6560  0.0908  0.3440
Te  0.9099  0.3437  0.6563